Entry 1:
# PmTm2ScSe6
Calculated powder XRD pattern, Cu Kα X-rays. Input: a structure optimized by DFT (GGA-PBE).
Neutral-atom scattering factors, no anomalous dispersion.

Structure:
a = 7.6056 Å, b = 7.6056 Å, c = 7.6056 Å
α = 55.71°, β = 55.71°, γ = 55.71°
Element x y z (fractional)
1 Pm 0.0000 0.0000 0.0000
2 Tm 0.2992 0.2992 0.2992
3 Tm 0.8042 0.8042 0.8042
4 Sc 0.4930 0.4930 0.4930
5 Se 0.0965 0.6885 0.4149
6 Se 0.2185 0.5862 0.8857
7 Se 0.4149 0.0965 0.6885
8 Se 0.5862 0.8857 0.2185
9 Se 0.6885 0.4149 0.0965
10 Se 0.8857 0.2185 0.5862

Largest 10 diffraction maxima, in order of falling intensity, 2θ = 5–70°:
2θ 37.82, rel. 100.0; 2θ 28.73, rel. 77.6; 2θ 44.14, rel. 63.9; 2θ 17.11, rel. 53.9; 2θ 23.50, rel. 52.4; 2θ 34.62, rel. 35.1; 2θ 43.21, rel. 31.8; 2θ 25.06, rel. 28.1; 2θ 59.50, rel. 24.9; 2θ 49.72, rel. 15.8

Entry 2:
# Pm14SmSc
Calculated powder XRD pattern, Cu Kα X-rays. Input: a structure optimized by DFT (GGA-PBE).
Neutral-atom scattering factors, no anomalous dispersion.

Structure:
a = 7.2582 Å, b = 7.2582 Å, c = 10.2324 Å
α = 90.00°, β = 90.00°, γ = 90.00°
Element x y z (fractional)
1 Pm 0.0000 0.0000 0.0000
2 Pm 0.0000 0.5000 0.0000
3 Pm 0.0000 0.5000 0.5000
4 Pm 0.2474 0.2474 0.2538
5 Pm 0.2474 0.2474 0.7462
6 Pm 0.2474 0.7526 0.2538
7 Pm 0.2474 0.7526 0.7462
8 Pm 0.5000 0.0000 0.0000
9 Pm 0.5000 0.0000 0.5000
10 Pm 0.5000 0.5000 0.0000
11 Pm 0.7526 0.2474 0.2538
12 Pm 0.7526 0.2474 0.7462
13 Pm 0.7526 0.7526 0.2538
14 Pm 0.7526 0.7526 0.7462
15 Sm 0.5000 0.5000 0.5000
16 Sc 0.0000 0.0000 0.5000

Largest 10 diffraction maxima, in order of falling intensity, 2θ = 5–70°:
2θ 30.19, rel. 100.0; 2θ 50.34, rel. 36.0; 2θ 34.97, rel. 33.9; 2θ 59.78, rel. 28.6; 2θ 35.08, rel. 16.7; 2θ 59.93, rel. 14.1; 2θ 62.78, rel. 12.3; 2θ 14.96, rel. 1.1; 2θ 28.88, rel. 0.7; 2θ 21.25, rel. 0.7